# 1
For Li3LaTb2Pb3, DFT lattice parameters and positions (PBE) gives the theoretical X-ray diffraction stick pattern in this record (copper Kα).
Intensities are scaled so that the largest is 100.

Crystal structure
```
9
Lattice="4.775 0.000 0.000 -2.387 4.135 0.000 0.000 0.000 11.447" Properties=species:S:1:pos:R:3 pbc="T T T"
Li 0.000 0.000 0.000
Li 0.000 2.757 3.411
Li 0.000 2.757 8.037
La 2.387 1.378 5.724
Tb 2.387 1.378 1.823
Tb 2.387 1.378 9.625
Pb 0.000 0.000 3.623
Pb 0.000 0.000 7.824
Pb 0.000 2.757 0.000
```

The 10 most intense peaks (2θ = 10–90°), sorted by position:
| 2θ (°) | intensity |
| --- | --- |
| 22.9 | 38 |
| 26.6 | 44 |
| 31.9 | 100 |
| 37.7 | 64 |
| 45.3 | 15 |
| 50.2 | 29 |
| 62.3 | 25 |
| 64.4 | 27 |
| 68.0 | 12 |
| 89.2 | 12 |

=====

# 2
For LiLa2Sn4Pd, DFT lattice parameters and positions (PBE) gives the theoretical X-ray diffraction stick pattern in this record (copper Kα).
Intensities are scaled so that the largest is 100.

Crystal structure
```
16
Lattice="4.592 0.000 0.000 0.000 4.537 0.000 0.000 0.000 19.541" Properties=species:S:1:pos:R:3 pbc="T T T"
Li 0.000 0.000 0.000
Li 0.000 2.268 9.771
La 0.000 0.000 15.225
La 0.000 2.268 5.454
La 2.296 0.000 11.052
La 2.296 2.268 1.282
Sn 0.000 0.000 2.543
Sn 0.000 0.000 8.282
Sn 0.000 2.268 12.314
Sn 0.000 2.268 18.053
Sn 2.296 0.000 4.214
Sn 2.296 0.000 18.070
Sn 2.296 2.268 8.300
Sn 2.296 2.268 13.985
Pd 2.296 0.000 6.821
Pd 2.296 2.268 16.591
```

The 10 most intense peaks (2θ = 10–90°), sorted by position:
| 2θ (°) | intensity |
| --- | --- |
| 30.2 | 22 |
| 30.9 | 100 |
| 33.7 | 23 |
| 39.2 | 24 |
| 39.7 | 23 |
| 41.9 | 13 |
| 53.1 | 13 |
| 57.1 | 16 |
| 66.0 | 12 |
| 66.7 | 11 |

=====

# 3
For LiLaZnSe3, DFT lattice parameters and positions (PBE) gives the theoretical X-ray diffraction stick pattern in this record (copper Kα).
Intensities are scaled so that the largest is 100.

Crystal structure
```
24
Lattice="8.308 0.000 0.000 0.000 4.211 0.000 0.000 0.000 17.257" Properties=species:S:1:pos:R:3 pbc="T T T"
Li 0.846 1.053 4.109
Li 3.308 3.158 12.738
Li 5.000 1.053 4.520
Li 7.462 3.158 13.148
La 1.954 1.053 9.522
La 2.200 3.158 0.893
La 6.108 1.053 16.364
La 6.354 3.158 7.735
Zn 1.181 1.053 14.787
Zn 2.973 3.158 6.158
Zn 5.335 1.053 11.099
Zn 7.128 3.158 2.470
Se 0.014 1.053 1.574
Se 1.047 3.158 7.639
Se 1.620 1.053 12.450
Se 2.534 3.158 3.822
Se 3.107 1.053 16.268
Se 4.140 3.158 10.203
Se 4.168 1.053 7.055
Se 5.202 3.158 0.989
Se 5.774 1.053 13.436
Se 6.688 3.158 4.807
Se 7.261 1.053 9.618
Se 8.294 3.158 15.683
```

The 10 most intense peaks (2θ = 10–90°), sorted by position:
| 2θ (°) | intensity |
| --- | --- |
| 10.3 | 100 |
| 21.7 | 86 |
| 30.7 | 74 |
| 31.6 | 44 |
| 33.0 | 43 |
| 34.1 | 72 |
| 39.3 | 62 |
| 40.2 | 45 |
| 43.0 | 58 |
| 43.9 | 40 |

=====

# 4
For LiLaZnSe3, DFT lattice parameters and positions (PBE) gives the theoretical X-ray diffraction stick pattern in this record (copper Kα).
Intensities are scaled so that the largest is 100.

Crystal structure
```
12
Lattice="7.970 0.000 0.000 0.000 4.139 0.000 -1.676 0.000 9.916" Properties=species:S:1:pos:R:3 pbc="T T T"
Li 1.102 1.035 1.222
Li 5.193 3.104 8.694
La 1.284 3.104 8.297
La 5.011 1.035 1.619
Zn -0.418 1.035 5.974
Zn 6.712 3.104 3.942
Se -0.901 1.035 8.411
Se 0.882 3.104 5.264
Se 2.909 3.104 1.401
Se 3.385 1.035 8.515
Se 5.412 1.035 4.652
Se 7.195 3.104 1.505
```

The 10 most intense peaks (2θ = 10–90°), sorted by position:
| 2θ (°) | intensity |
| --- | --- |
| 13.2 | 100 |
| 24.3 | 32 |
| 27.0 | 44 |
| 31.4 | 49 |
| 31.6 | 43 |
| 35.1 | 25 |
| 43.7 | 22 |
| 44.4 | 21 |
| 45.5 | 47 |
| 52.1 | 16 |

=====

# 5
For LaLu2Se4, DFT lattice parameters and positions (PBE) gives the theoretical X-ray diffraction stick pattern in this record (copper Kα).
Intensities are scaled so that the largest is 100.

Crystal structure
```
14
Lattice="0.000 5.974 5.974 5.974 0.000 5.974 5.974 5.974 0.000" Properties=species:S:1:pos:R:3 pbc="T T T"
La 1.493 1.493 1.493
La 10.454 10.454 10.454
Lu 5.974 2.987 2.987
Lu 2.987 5.974 2.987
Lu 2.987 2.987 5.974
Lu 5.974 5.974 5.974
Se 3.145 3.145 3.145
Se 5.816 5.816 3.145
Se 5.816 3.145 5.816
Se 8.803 6.131 6.131
Se 3.145 5.816 5.816
Se 6.131 8.803 6.131
Se 6.131 6.131 8.803
Se 8.803 8.803 8.803
```

The 10 most intense peaks (2θ = 10–90°), sorted by position:
| 2θ (°) | intensity |
| --- | --- |
| 12.8 | 29 |
| 21.0 | 23 |
| 24.7 | 96 |
| 29.9 | 59 |
| 39.2 | 60 |
| 42.8 | 100 |
| 59.4 | 23 |
| 67.9 | 17 |
| 78.4 | 29 |
| 83.7 | 18 |

=====

# 6
For La3LuSe6, DFT lattice parameters and positions (PBE) gives the theoretical X-ray diffraction stick pattern in this record (copper Kα).
Intensities are scaled so that the largest is 100.

Crystal structure
```
40
Lattice="14.730 0.000 0.000 0.000 17.711 0.000 0.000 0.000 4.185" Properties=species:S:1:pos:R:3 pbc="T T T"
La 0.721 3.869 0.000
La 2.660 11.532 0.000
La 3.662 15.933 2.093
La 3.703 7.077 0.000
La 4.705 2.676 2.093
La 6.644 12.725 2.093
La 8.086 4.987 2.093
La 10.025 15.035 2.093
La 11.027 10.634 0.000
La 11.068 1.778 2.093
La 12.070 6.179 0.000
La 14.009 13.842 0.000
Lu 0.000 0.000 2.093
Lu 0.000 8.856 2.093
Lu 7.365 0.000 0.000
Lu 7.365 8.856 0.000
Se 0.344 6.997 0.000
Se 1.342 16.331 0.000
Se 1.530 13.364 2.093
Se 1.844 1.959 2.093
Se 2.744 5.139 2.093
Se 2.760 9.263 2.093
Se 4.605 0.407 0.000
Se 4.621 13.995 0.000
Se 5.521 10.815 0.000
Se 5.835 4.508 0.000
Se 6.023 7.475 2.093
Se 7.021 15.853 2.093
Se 7.709 1.858 2.093
Se 8.707 10.236 2.093
Se 8.895 13.203 0.000
Se 9.209 6.897 0.000
Se 10.109 3.717 0.000
Se 10.125 17.304 0.000
Se 11.970 8.449 2.093
Se 11.986 12.572 2.093
Se 12.886 15.752 2.093
Se 13.200 4.347 2.093
Se 13.388 1.380 0.000
Se 14.386 10.714 0.000
```

The 10 most intense peaks (2θ = 10–90°), sorted by position:
| 2θ (°) | intensity |
| --- | --- |
| 23.4 | 35 |
| 24.3 | 30 |
| 30.0 | 33 |
| 31.9 | 100 |
| 33.1 | 36 |
| 37.7 | 31 |
| 38.7 | 22 |
| 41.7 | 34 |
| 42.7 | 22 |
| 43.2 | 45 |

=====

# 7
For LaMgTcMo, DFT lattice parameters and positions (PBE) gives the theoretical X-ray diffraction stick pattern in this record (copper Kα).
Intensities are scaled so that the largest is 100.

Crystal structure
```
16
Lattice="6.777 0.000 0.000 0.000 6.777 0.000 0.000 0.000 6.777" Properties=species:S:1:pos:R:3 pbc="T T T"
La 0.000 0.000 0.000
La 0.000 3.389 3.389
La 3.389 0.000 3.389
La 3.389 3.389 0.000
Mg 1.694 1.694 1.694
Mg 1.694 5.083 5.083
Mg 5.083 1.694 5.083
Mg 5.083 5.083 1.694
Tc 0.000 0.000 3.389
Tc 0.000 3.389 0.000
Tc 3.389 0.000 0.000
Tc 3.389 3.389 3.389
Mo 1.694 1.694 5.083
Mo 1.694 5.083 1.694
Mo 5.083 1.694 1.694
Mo 5.083 5.083 5.083
```

The 10 most intense peaks (2θ = 10–90°), sorted by position:
| 2θ (°) | intensity |
| --- | --- |
| 22.7 | 12 |
| 26.3 | 13 |
| 37.5 | 100 |
| 44.3 | 6 |
| 46.4 | 4 |
| 54.1 | 17 |
| 59.4 | 3 |
| 61.2 | 5 |
| 67.7 | 34 |
| 80.1 | 11 |

=====

# 8
For LaNdMg6, DFT lattice parameters and positions (PBE) gives the theoretical X-ray diffraction stick pattern in this record (copper Kα).
Intensities are scaled so that the largest is 100.

Crystal structure
```
8
Lattice="5.270 0.000 0.000 0.000 7.441 0.000 0.000 0.000 5.268" Properties=species:S:1:pos:R:3 pbc="T T T"
La 0.000 0.000 0.000
Nd 2.635 3.721 2.668
Mg 0.000 1.882 2.632
Mg 0.000 3.721 0.004
Mg 0.000 5.559 2.632
Mg 2.635 0.000 2.662
Mg 2.635 1.883 0.036
Mg 2.635 5.559 0.036
```

The 10 most intense peaks (2θ = 10–90°), sorted by position:
| 2θ (°) | intensity |
| --- | --- |
| 20.7 | 64 |
| 23.9 | 34 |
| 34.0 | 100 |
| 40.2 | 35 |
| 48.9 | 18 |
| 53.6 | 15 |
| 55.1 | 14 |
| 60.9 | 36 |
| 65.1 | 11 |
| 71.7 | 11 |

=====

# 9
For La2PrMg2Si4Pd2, DFT lattice parameters and positions (PBE) gives the theoretical X-ray diffraction stick pattern in this record (copper Kα).
Intensities are scaled so that the largest is 100.

Crystal structure
```
11
Lattice="-2.128 2.150 13.105 2.128 -2.150 13.105 2.128 2.150 -13.105" Properties=species:S:1:pos:R:3 pbc="T T T"
La 0.000 0.000 3.646
La 0.000 0.000 22.564
Pr 0.000 2.150 0.000
Mg 2.128 0.000 6.554
Mg 0.000 2.150 6.551
Si 2.128 0.000 1.193
Si 0.000 0.000 8.266
Si 0.000 0.000 17.943
Si 0.000 2.150 11.912
Pd 0.000 0.000 10.727
Pd 0.000 0.000 15.483
```

The 10 most intense peaks (2θ = 10–90°), sorted by position:
| 2θ (°) | intensity |
| --- | --- |
| 13.5 | 18 |
| 23.1 | 20 |
| 29.5 | 15 |
| 31.8 | 49 |
| 32.6 | 100 |
| 42.0 | 20 |
| 42.5 | 20 |
| 43.4 | 32 |
| 53.7 | 22 |
| 62.4 | 22 |

=====

# 10
For La2Mg4PdPt, DFT lattice parameters and positions (PBE) gives the theoretical X-ray diffraction stick pattern in this record (copper Kα).
Intensities are scaled so that the largest is 100.

Crystal structure
```
16
Lattice="8.346 0.000 0.000 0.000 4.323 0.000 0.000 0.000 10.485" Properties=species:S:1:pos:R:3 pbc="T T T"
La 0.000 0.000 0.000
La 0.000 2.162 5.242
La 4.173 0.000 1.276
La 4.173 2.162 6.519
Mg 1.639 0.000 7.483
Mg 1.639 2.162 2.241
Mg 2.550 0.000 4.258
Mg 2.550 2.162 9.500
Mg 5.796 0.000 4.258
Mg 5.796 2.162 9.500
Mg 6.707 0.000 7.483
Mg 6.707 2.162 2.241
Pd 0.000 0.000 2.980
Pd 0.000 2.162 8.222
Pt 4.173 0.000 8.744
Pt 4.173 2.162 3.502
```

The 10 most intense peaks (2θ = 10–90°), sorted by position:
| 2θ (°) | intensity |
| --- | --- |
| 21.3 | 75 |
| 22.2 | 36 |
| 24.7 | 24 |
| 31.0 | 61 |
| 34.7 | 100 |
| 35.9 | 37 |
| 41.8 | 25 |
| 46.7 | 41 |
| 47.4 | 18 |
| 56.3 | 20 |

=====

# 11
For La2PrMg3Pt3, DFT lattice parameters and positions (PBE) gives the theoretical X-ray diffraction stick pattern in this record (copper Kα).
Intensities are scaled so that the largest is 100.

Crystal structure
```
9
Lattice="4.173 0.000 0.000 0.000 6.623 3.783 0.000 -6.623 3.783" Properties=species:S:1:pos:R:3 pbc="T T T"
La 0.000 -3.872 3.783
La 0.000 3.872 3.783
Pr 0.000 0.000 4.692
Mg 2.087 -1.560 2.475
Mg 2.087 1.560 2.475
Mg 2.087 0.000 7.325
Pt 0.000 0.000 1.581
Pt 2.087 -2.228 5.372
Pt 2.087 2.228 5.372
```

The 10 most intense peaks (2θ = 10–90°), sorted by position:
| 2θ (°) | intensity |
| --- | --- |
| 23.3 | 57 |
| 23.5 | 27 |
| 25.3 | 46 |
| 31.8 | 57 |
| 31.9 | 30 |
| 34.6 | 49 |
| 34.8 | 100 |
| 41.2 | 37 |
| 43.4 | 33 |
| 61.4 | 23 |

=====

# 12
For LaSmMg4, DFT lattice parameters and positions (PBE) gives the theoretical X-ray diffraction stick pattern in this record (copper Kα).
Intensities are scaled so that the largest is 100.

Crystal structure
```
12
Lattice="5.320 0.000 0.000 0.000 6.752 0.000 0.000 0.000 9.209" Properties=species:S:1:pos:R:3 pbc="T T T"
La 0.000 0.000 0.000
La 2.660 3.376 4.605
Sm 0.000 3.376 0.008
Sm 2.660 0.000 4.612
Mg 0.000 1.673 3.076
Mg 0.000 1.677 6.143
Mg 0.000 5.079 3.076
Mg 0.000 5.075 6.143
Mg 2.660 1.699 1.539
Mg 2.660 1.703 7.681
Mg 2.660 5.053 1.539
Mg 2.660 5.049 7.681
```

The 10 most intense peaks (2θ = 10–90°), sorted by position:
| 2θ (°) | intensity |
| --- | --- |
| 19.3 | 90 |
| 32.9 | 100 |
| 33.7 | 62 |
| 39.1 | 15 |
| 43.3 | 14 |
| 47.8 | 35 |
| 52.6 | 13 |
| 59.8 | 36 |
| 65.5 | 18 |
| 80.4 | 15 |